# K3Mn2N4
Calculated PXRD pattern, Cu Kα. Input: a DFT-relaxed cell (PBE, Alexandria).
Peak positions follow from Bragg's law for the DFT cell and can differ from measured ones.

Largest 10 diffraction maxima, sorted by position, 2θ = 5–70°:
d [Å]  2θ (°)  I/Imax  hkl
7.742  11.43  1000  0 2 0
4.656  19.06  165  1 0 1
3.188  27.99  167  1 1 2
2.977  30.02  496  1 4 1
2.882  31.03  449  2 0 0
2.755  32.50  110  1 3 2
2.345  38.39  85  0 3 3
2.288  39.39  143  1 2 3
2.244  40.18  123  1 5 2
1.681  54.58  104  3 4 1

Structural model:
Unit cell a=5.764 b=15.484 c=7.897 alpha=90.00 beta=90.00 gamma=90.00
Space group Imma (No. 74)
Symmetry-distinct sites (fractional):
K 0.000 0.102 0.065 [8 per cell]
K 0.000 0.250 0.554 [4 per cell]
Mn 0.000 0.034 0.634 [8 per cell]
N 0.000 0.078 0.422 [8 per cell]
N 0.250 0.060 0.750 [8 per cell]

=====

# K2Mn2N3
Calculated PXRD pattern, Cu Kα. Input: a DFT-relaxed cell (PBE, Alexandria).
Peak positions follow from Bragg's law for the DFT cell and can differ from measured ones.

Largest 10 diffraction maxima, sorted by position, 2θ = 5–70°:
d [Å]  2θ (°)  I/Imax  hkl
5.145  17.23  1000  0 1 1
4.638  19.13  171  1 1 -1
4.406  20.15  643  0 2 0
3.428  25.99  492  1 2 -1
3.169  28.16  460  0 0 2
2.727  32.84  245  2 0 -2
2.665  33.63  837  0 3 1
2.595  34.57  185  1 2 1
2.487  36.11  169  2 0 0
1.807  50.51  216  2 0 -4

Structural model:
Unit cell a=5.743 b=8.813 c=7.317 alpha=90.00 beta=119.98 gamma=90.00
Space group P2_1/c (No. 14)
Symmetry-distinct sites (fractional):
K 0.194 0.152 0.438 [4 per cell]
Mn 0.310 0.524 0.514 [4 per cell]
N 0.000 0.000 0.000 [2 per cell]
N 0.358 0.533 0.292 [4 per cell]

=====

# K4Np3MnN8
Calculated PXRD pattern, Cu Kα. Input: a DFT-relaxed cell (PBE, Alexandria).
Peak positions follow from Bragg's law for the DFT cell and can differ from measured ones.

Largest 10 diffraction maxima, sorted by position, 2θ = 5–70°:
d [Å]  2θ (°)  I/Imax  hkl
6.371  13.90  1000  0 0 1
3.186  28.01  359  0 0 2
2.899  30.84  255  4 0 -2
2.859  31.28  219  2 2 -1
2.799  31.98  446  2 2 0
2.669  33.58  304  4 0 0
2.453  36.64  468  2 2 -2
2.342  38.43  165  2 2 1
1.869  48.71  190  2 2 2
1.749  52.32  167  6 2 -2

Structural model:
Unit cell a=12.410 b=6.574 c=7.406 alpha=90.00 beta=120.65 gamma=90.00
Space group C2/m (No. 12)
Symmetry-distinct sites (fractional):
K 0.000 0.000 0.000 [2 per cell]
K 0.000 0.500 0.000 [2 per cell]
K 0.250 0.250 0.000 [4 per cell]
Np 0.000 0.000 0.500 [2 per cell]
Np 0.250 0.250 0.500 [4 per cell]
Mn 0.000 0.500 0.500 [2 per cell]
N 0.030 0.253 0.349 [8 per cell]
N 0.225 0.000 0.666 [4 per cell]
N 0.242 0.000 0.315 [4 per cell]

=====

# K2MnReN4
Calculated PXRD pattern, Cu Kα. Input: a DFT-relaxed cell (PBE, Alexandria).
Peak positions follow from Bragg's law for the DFT cell and can differ from measured ones.

Largest 10 diffraction maxima, sorted by position, 2θ = 5–70°:
d [Å]  2θ (°)  I/Imax  hkl
6.798  13.02  861  0 0 1
4.661  19.04  319  0 1 1
4.478  19.83  672  1 0 1
4.359  20.37  486  1 1 0
2.975  30.03  631  2 0 0
2.951  30.28  818  1 0 2
2.897  30.87  468  0 2 1
2.605  34.43  1000  1 2 1
2.170  41.62  386  1 2 2
1.571  58.78  363  2 2 3

Structural model:
Unit cell a=5.951 b=6.404 c=6.798 alpha=90.00 beta=90.00 gamma=90.00
Space group Pmmn (No. 59, origin choice 2)
Symmetry-distinct sites (fractional):
K 0.250 0.001 0.201 [4 per cell]
Mn 0.250 0.750 0.655 [2 per cell]
Re 0.250 0.250 0.646 [2 per cell]
N 0.002 0.750 0.513 [4 per cell]
N 0.250 0.502 0.792 [4 per cell]